# 1
Diffraction record for NdSm2Er2. The powder diffraction line list is theoretical, not measured: it uses a structure optimized by DFT (GGA-PBE) and Cu Kα, 1.54184 Å.

Crystal structure
```
data_NdSm2Er2
_chemical_formula_sum 'Nd2 Sm4 Er4'
_space_group_name_H-M_alt 'P 1'
_space_group_IT_number 1
_cell_length_a 8.224
_cell_length_b 8.224
_cell_length_c 6.030
_cell_angle_alpha 103.81
_cell_angle_beta 103.81
_cell_angle_gamma 110.40
loop_
_space_group_symop_operation_xyz
'x,y,z'
loop_
_atom_site_label
_atom_site_type_symbol
_atom_site_fract_x
_atom_site_fract_y
_atom_site_fract_z
_atom_site_occupancy
Nd1 Nd 0.070 0.930 0.750 1
Nd2 Nd 0.930 0.070 0.250 1
Sm1 Sm 0.242 0.391 0.117 1
Sm2 Sm 0.391 0.242 0.617 1
Sm3 Sm 0.609 0.758 0.383 1
Sm4 Sm 0.758 0.609 0.883 1
Er1 Er 0.201 0.799 0.250 1
Er2 Er 0.334 0.666 0.750 1
Er3 Er 0.666 0.334 0.250 1
Er4 Er 0.799 0.201 0.750 1
```

Main lines, low angle first (2θ = 15–90°):
| two_theta | I (rel.) |
| --- | --- |
| 24.70 | 27 |
| 30.22 | 35 |
| 30.54 | 72 |
| 31.12 | 100 |
| 32.19 | 28 |
| 33.56 | 45 |
| 35.07 | 45 |
| 53.02 | 29 |



# 2
Diffraction record for Mn2GaSe2. The powder diffraction line list is theoretical, not measured: it uses a structure optimized by DFT (GGA-PBE) and Cu Kα, 1.54184 Å.

Crystal structure
```
data_Mn2GaSe2
_chemical_formula_sum 'Mn4 Ga2 Se4'
_space_group_name_H-M_alt 'P 1'
_space_group_IT_number 1
_cell_length_a 8.465
_cell_length_b 3.873
_cell_length_c 6.872
_cell_angle_alpha 90.00
_cell_angle_beta 103.71
_cell_angle_gamma 90.00
loop_
_space_group_symop_operation_xyz
'x,y,z'
loop_
_atom_site_label
_atom_site_type_symbol
_atom_site_fract_x
_atom_site_fract_y
_atom_site_fract_z
_atom_site_occupancy
Mn1 Mn 0.000 0.000 0.000 1
Mn2 Mn 0.118 0.500 0.643 1
Mn3 Mn 0.500 0.500 0.000 1
Mn4 Mn 0.618 0.000 0.643 1
Ga1 Ga 0.402 0.500 0.621 1
Ga2 Ga 0.902 0.000 0.621 1
Se1 Se 0.091 0.000 0.399 1
Se2 Se 0.197 0.500 0.007 1
Se3 Se 0.591 0.500 0.399 1
Se4 Se 0.697 0.000 0.007 1
```

Main lines, low angle first (2θ = 15–90°):
| two_theta | I (rel.) |
| --- | --- |
| 21.61 | 44 |
| 25.42 | 100 |
| 26.70 | 44 |
| 39.10 | 55 |
| 39.94 | 82 |
| 46.92 | 42 |
| 52.05 | 42 |
| 53.53 | 46 |



# 3
Diffraction record for Sr3CdBi3. The powder diffraction line list is theoretical, not measured: it uses a structure optimized by DFT (GGA-PBE) and Cu Kα, 1.54184 Å.

Crystal structure
```
data_Sr3CdBi3
_chemical_formula_sum 'Sr6 Cd2 Bi6'
_space_group_name_H-M_alt 'P 1'
_space_group_IT_number 1
_cell_length_a 10.022
_cell_length_b 10.022
_cell_length_c 6.849
_cell_angle_alpha 90.00
_cell_angle_beta 90.00
_cell_angle_gamma 120.00
loop_
_space_group_symop_operation_xyz
'x,y,z'
loop_
_atom_site_label
_atom_site_type_symbol
_atom_site_fract_x
_atom_site_fract_y
_atom_site_fract_z
_atom_site_occupancy
Sr1 Sr 0.049 0.691 0.250 1
Sr2 Sr 0.309 0.357 0.250 1
Sr3 Sr 0.357 0.049 0.750 1
Sr4 Sr 0.643 0.951 0.250 1
Sr5 Sr 0.691 0.643 0.750 1
Sr6 Sr 0.951 0.309 0.750 1
Cd1 Cd 0.333 0.667 0.750 1
Cd2 Cd 0.667 0.333 0.250 1
Bi1 Bi 0.050 0.688 0.750 1
Bi2 Bi 0.312 0.362 0.750 1
Bi3 Bi 0.362 0.050 0.250 1
Bi4 Bi 0.638 0.950 0.750 1
Bi5 Bi 0.688 0.638 0.250 1
Bi6 Bi 0.950 0.312 0.250 1
```

Main lines, low angle first (2θ = 15–90°):
| two_theta | I (rel.) |
| --- | --- |
| 16.49 | 33 |
| 17.70 | 49 |
| 21.98 | 54 |
| 26.02 | 77 |
| 27.18 | 46 |
| 30.91 | 100 |
| 37.99 | 38 |
| 40.84 | 98 |